No. 1
Diffraction record for GePd4. The powder X-ray diffraction pattern is calculated, not measured: it uses a cell relaxed with GGA-PBE and Cu Ka.
No peak broadening, texture or thermal motion is included.

Principal peaks in the range 10 to 80 degrees two-theta, by intensity:
- 2θ 38.66, I = 100, (1 -1 1)
- 2θ 39.65, I = 100, (2 2 1)
- 2θ 42.03, I = 90, (1 1 3)
- 2θ 42.36, I = 86, (1 1 -2)
- 2θ 41.21, I = 85, (0 2 2)
- 2θ 41.44, I = 82, (2 0 -1)
- 2θ 40.44, I = 28, (0 2 0)
- 2θ 56.50, I = 27, (3 1 2)

Lattice parameters (Å, degrees): 5.3218 5.3348 6.6064 66.84 77.98 62.86
Space group P-1 (No. 2)
One atom of each set of equivalent atoms:
Ge 0.2061 0.4000 0.2785 x2
Pd 0.0218 0.1977 0.0796 x2
Pd 0.2114 0.7153 0.5030 x2
Pd 0.3286 0.0849 0.6736 x2
Pd 0.4960 0.3146 0.9022 x2

---

No. 2
Diffraction record for PmMnFe. The powder X-ray diffraction pattern is calculated, not measured: it uses a cell relaxed with GGA-PBE and Cu Ka.
No peak broadening, texture or thermal motion is included.

Principal peaks in the range 10 to 80 degrees two-theta, by intensity:
- 2θ 40.78, I = 100, (2 1 1)
- 2θ 34.34, I = 92, (1 1 2)
- 2θ 39.94, I = 74, (1 2 1)
- 2θ 40.47, I = 39, (0 1 3)
- 2θ 72.37, I = 31, (2 2 4)
- 2θ 33.54, I = 26, (0 2 0)
- 2θ 65.89, I = 23, (3 2 1)
- 2θ 34.85, I = 21, (2 0 0)

Lattice parameters (Å, degrees): 5.1490 5.3436 7.3576 90.00 90.00 90.00
Space group Imma (No. 74)
One atom of each set of equivalent atoms:
Pm 0.0000 0.2500 0.1219 x4
Mn 0.0000 0.0000 0.5000 x4
Fe 0.2500 0.2500 0.7500 x4

---

No. 3
Diffraction record for NpAlTl2Se4. The powder X-ray diffraction pattern is calculated, not measured: it uses a cell relaxed with GGA-PBE and Cu Ka.
No peak broadening, texture or thermal motion is included.

Principal peaks in the range 10 to 80 degrees two-theta, by intensity:
- 2θ 29.66, I = 100, (2 2 0)
- 2θ 42.37, I = 70, (2 2 4)
- 2θ 29.56, I = 50, (0 0 4)
- 2θ 25.06, I = 24, (0 2 2)
- 2θ 43.78, I = 21, (4 0 0)
- 2θ 26.10, I = 19, (2 0 2)
- 2θ 53.69, I = 18, (4 0 4)
- 2θ 41.09, I = 18, (0 4 0)

Lattice parameters (Å, degrees): 8.2748 8.7865 12.0881 90.00 90.00 90.00
Space group Imma (No. 74)
One atom of each set of equivalent atoms:
Np 0.0000 0.0000 0.0000 x4
Al 0.2500 0.2500 0.2500 x4
Tl 0.0000 0.0000 0.5000 x4
Tl 0.2500 0.2500 0.7500 x4
Se 0.0000 0.0502 0.2397 x8
Se 0.2264 0.2500 0.0284 x8

---

No. 4
Diffraction record for PrFeTcP2. The powder X-ray diffraction pattern is calculated, not measured: it uses a cell relaxed with GGA-PBE and Cu Ka.
No peak broadening, texture or thermal motion is included.

Principal peaks in the range 10 to 80 degrees two-theta, by intensity:
- 2θ 36.17, I = 100, (1 1 2)
- 2θ 34.58, I = 54, (1 0 3)
- 2θ 23.78, I = 42, (1 0 1)
- 2θ 45.07, I = 41, (2 0 0)
- 2θ 63.89, I = 24, (1 1 6)
- 2θ 58.02, I = 24, (2 1 3)
- 2θ 77.30, I = 21, (3 1 2)
- 2θ 35.27, I = 19, (0 0 4)

Lattice parameters (Å, degrees): 4.0234 4.0234 10.1784 90.00 90.00 90.00
Space group I-4m2 (No. 119)
One atom of each set of equivalent atoms:
Pr 0.0000 0.0000 0.0000 x2
Fe 0.0000 0.5000 0.2500 x2
Tc 0.0000 0.5000 0.7500 x2
P 0.0000 0.0000 0.3589 x4

---

No. 5
Diffraction record for NaCd2Pd2. The powder X-ray diffraction pattern is calculated, not measured: it uses a cell relaxed with GGA-PBE and Cu Ka.
No peak broadening, texture or thermal motion is included.

Principal peaks in the range 10 to 80 degrees two-theta, by intensity:
- 2θ 38.74, I = 100, (2 1 1)
- 2θ 15.63, I = 41, (1 1 0)
- 2θ 35.39, I = 38, (3 1 0)
- 2θ 70.34, I = 18, (5 2 1)
- 2θ 45.23, I = 14, (4 0 0)
- 2θ 48.14, I = 13, (3 3 0)
- 2θ 56.06, I = 11, (4 1 1)
- 2θ 22.17, I = 10, (2 0 0)

Lattice parameters (Å, degrees): 8.0200 8.0200 3.0523 90.00 90.00 90.00
Space group P4/mbm (No. 127)
One atom of each set of equivalent atoms:
Na 0.0000 0.0000 0.0000 x2
Cd 0.1655 0.3345 0.5000 x4
Pd 0.1298 0.6298 0.0000 x4

---

No. 6
Diffraction record for La2TbZnTe5. The powder X-ray diffraction pattern is calculated, not measured: it uses a cell relaxed with GGA-PBE and Cu Ka.
No peak broadening, texture or thermal motion is included.

Principal peaks in the range 10 to 80 degrees two-theta, by intensity:
- 2θ 29.06, I = 100, (1 1 3)
- 2θ 33.73, I = 56, (1 5 2)
- 2θ 28.45, I = 50, (0 6 1)
- 2θ 41.31, I = 33, (2 0 0)
- 2θ 50.92, I = 20, (2 6 1)
- 2θ 24.81, I = 14, (1 1 2)
- 2θ 37.05, I = 14, (1 5 3)
- 2θ 47.55, I = 13, (1 7 4)

Lattice parameters (Å, degrees): 4.3708 19.3696 13.2988 90.00 90.00 90.00
Space group Cmc2_1 (No. 36)
One atom of each set of equivalent atoms:
La 0.0000 0.1153 0.0000 x4
La 0.0000 0.1279 0.6266 x4
Tb 0.0000 0.1981 0.3286 x4
Zn 0.0000 0.4370 0.7686 x4
Te 0.0000 0.0437 0.3790 x4
Te 0.0000 0.2885 0.9901 x4
Te 0.0000 0.3118 0.6639 x4
Te 0.0000 0.3574 0.3170 x4
Te 0.0000 0.4989 0.0947 x4

---

No. 7
Diffraction record for Na8BiPb2. The powder X-ray diffraction pattern is calculated, not measured: it uses a cell relaxed with GGA-PBE and Cu Ka.
No peak broadening, texture or thermal motion is included.

Principal peaks in the range 10 to 80 degrees two-theta, by intensity:
- 2θ 19.04, I = 100, (1 1 0)
- 2θ 32.29, I = 77, (1 -2 0)
- 2θ 21.87, I = 47, (0 2 1)
- 2θ 19.25, I = 46, (0 1 -1)
- 2θ 32.63, I = 37, (1 2 3)
- 2θ 33.54, I = 28, (1 2 -1)
- 2θ 33.17, I = 28, (2 1 1)
- 2θ 59.53, I = 24, (3 3 0)

Lattice parameters (Å, degrees): 5.4018 8.6384 8.6411 64.50 71.80 71.79
Space group P1 (No. 1)
One atom of each set of equivalent atoms:
Na 0.0000 0.0000 0.0000 x1
Na 0.0003 0.3970 0.6026 x1
Na 0.3135 0.1049 0.2681 x1
Na 0.3141 0.6654 0.7065 x1
Na 0.5104 0.6895 0.2889 x1
Na 0.6550 0.2348 0.4529 x1
Na 0.6558 0.8527 0.8335 x1
Na 0.7965 0.4032 0.0043 x1
Bi 0.4563 0.2425 0.8452 x1
Pb 0.1383 0.5601 0.1629 x1
Pb 0.8701 0.8284 0.4306 x1

---

No. 8
Diffraction record for AlSn. The powder X-ray diffraction pattern is calculated, not measured: it uses a cell relaxed with GGA-PBE and Cu Ka.
No peak broadening, texture or thermal motion is included.

Principal peaks in the range 10 to 80 degrees two-theta, by intensity:
- 2θ 26.78, I = 100, (1 0 1)
- 2θ 39.25, I = 95, (1 4 1)
- 2θ 28.17, I = 47, (0 4 0)
- 2θ 37.91, I = 36, (1 0 2)
- 2θ 30.53, I = 24, (0 0 2)
- 2θ 44.81, I = 24, (2 0 0)
- 2θ 32.12, I = 22, (0 4 1)
- 2θ 42.00, I = 21, (0 4 2)

Lattice parameters (Å, degrees): 4.0454 12.6722 5.8613 90.00 90.00 90.00
Space group Pmmn (No. 59, origin choice 2)
One atom of each set of equivalent atoms:
Al 0.2500 0.1418 0.0788 x4
Al 0.2500 0.7500 0.7064 x2
Sn 0.2500 0.2500 0.6375 x2
Sn 0.2500 0.5079 0.7062 x4

---

No. 9
Diffraction record for Tb8TcBi2. The powder X-ray diffraction pattern is calculated, not measured: it uses a cell relaxed with GGA-PBE and Cu Ka.
No peak broadening, texture or thermal motion is included.

Principal peaks in the range 10 to 80 degrees two-theta, by intensity:
- 2θ 30.99, I = 100, (5 1 0)
- 2θ 33.18, I = 100, (0 2 0)
- 2θ 35.32, I = 73, (5 1 -2)
- 2θ 31.40, I = 70, (3 1 -2)
- 2θ 30.81, I = 58, (1 1 -2)
- 2θ 33.76, I = 41, (1 1 2)
- 2θ 30.22, I = 35, (5 1 -1)
- 2θ 28.38, I = 28, (4 0 1)

Lattice parameters (Å, degrees): 18.0472 5.3997 6.9484 90.00 108.90 90.00
Space group C2/m (No. 12)
One atom of each set of equivalent atoms:
Tb 0.0082 0.0000 0.2358 x4
Tb 0.0917 0.5000 0.7550 x4
Tb 0.1411 0.5000 0.3146 x4
Tb 0.2046 0.0000 0.1088 x4
Tc 0.0000 0.5000 0.0000 x2
Bi 0.1700 0.0000 0.6181 x4

---

No. 10
Diffraction record for Er3ScAg3Te8. The powder X-ray diffraction pattern is calculated, not measured: it uses a cell relaxed with GGA-PBE and Cu Ka.
No peak broadening, texture or thermal motion is included.

Principal peaks in the range 10 to 80 degrees two-theta, by intensity:
- 2θ 29.29, I = 100, (4 0 0)
- 2θ 41.85, I = 38, (2 2 2)
- 2θ 41.96, I = 37, (0 4 0)
- 2θ 51.99, I = 20, (4 4 0)
- 2θ 68.90, I = 17, (6 2 2)
- 2θ 76.64, I = 14, (8 4 0)
- 2θ 68.73, I = 11, (0 4 4)
- 2θ 60.71, I = 8, (4 4 -4)

Lattice parameters (Å, degrees): 14.9192 8.6125 8.6462 90.00 125.28 90.00
Space group C2/m (No. 12)
One atom of each set of equivalent atoms:
Er 0.0000 0.0000 0.0000 x2
Er 0.2500 0.2500 0.0000 x4
Sc 0.0000 0.5000 0.0000 x2
Ag 0.0000 0.5000 0.5000 x2
Ag 0.2500 0.2500 0.5000 x4
Te 0.0012 0.2571 0.2456 x8
Te 0.2442 0.5000 0.2455 x4
Te 0.2488 0.5000 0.7472 x4

---

No. 11
Diffraction record for SrTl2B2O6. The powder X-ray diffraction pattern is calculated, not measured: it uses a cell relaxed with GGA-PBE and Cu Ka.
No peak broadening, texture or thermal motion is included.

Principal peaks in the range 10 to 80 degrees two-theta, by intensity:
- 2θ 22.61, I = 100, (0 1 1)
- 2θ 30.25, I = 76, (1 0 2)
- 2θ 34.03, I = 40, (1 1 0)
- 2θ 49.40, I = 31, (1 1 3)
- 2θ 41.25, I = 29, (2 0 1)
- 2θ 54.51, I = 25, (1 2 1)
- 2θ 58.58, I = 21, (3 -1 2)
- 2θ 46.17, I = 20, (0 2 2)

Lattice parameters (Å, degrees): 5.2689 5.2689 7.7543 90.00 90.00 120.00
Space group P-3 (No. 147)
One atom of each set of equivalent atoms:
Sr 0.0000 0.0000 0.0000 x1
Tl 0.3333 0.6667 0.3497 x2
B 0.3333 0.6667 0.7879 x2
O 0.0758 0.6768 0.7908 x6

---

No. 12
Diffraction record for Cs2K6CdO. The powder X-ray diffraction pattern is calculated, not measured: it uses a cell relaxed with GGA-PBE and Cu Ka.
No peak broadening, texture or thermal motion is included.

Principal peaks in the range 10 to 80 degrees two-theta, by intensity:
- 2θ 23.82, I = 100, (2 0 2)
- 2θ 24.05, I = 81, (1 1 4)
- 2θ 17.99, I = 59, (1 1 2)
- 2θ 31.24, I = 52, (2 2 0)
- 2θ 39.81, I = 45, (3 1 4)
- 2θ 31.78, I = 35, (1 1 6)
- 2θ 21.95, I = 34, (2 0 0)
- 2θ 17.55, I = 29, (1 0 3)

Lattice parameters (Å, degrees): 8.0971 8.0971 19.3997 90.00 90.00 90.00
Space group I4mm (No. 107)
One atom of each set of equivalent atoms:
Cs 0.0000 0.5000 0.0000 x4
K 0.0000 0.0000 0.1350 x2
K 0.0000 0.0000 0.6366 x2
K 0.2192 0.2192 0.7947 x8
Cd 0.0000 0.0000 0.4187 x2
O 0.0000 0.0000 0.7658 x2

---

No. 13
Diffraction record for Sc8ZnAg2. The powder X-ray diffraction pattern is calculated, not measured: it uses a cell relaxed with GGA-PBE and Cu Ka.
No peak broadening, texture or thermal motion is included.

Principal peaks in the range 10 to 80 degrees two-theta, by intensity:
- 2θ 36.52, I = 100, (1 1 2)
- 2θ 37.06, I = 87, (0 2 0)
- 2θ 22.93, I = 82, (4 0 -1)
- 2θ 38.84, I = 70, (5 1 -2)
- 2θ 34.41, I = 50, (5 1 0)
- 2θ 25.21, I = 39, (3 1 0)
- 2θ 33.57, I = 37, (5 1 -1)
- 2θ 21.09, I = 34, (2 0 1)

Lattice parameters (Å, degrees): 16.2857 4.8520 6.5008 90.00 108.46 90.00
Space group C2/m (No. 12)
One atom of each set of equivalent atoms:
Sc 0.0264 0.0000 0.2843 x4
Sc 0.0959 0.5000 0.9532 x4
Sc 0.1662 0.5000 0.4647 x4
Sc 0.1929 0.0000 0.7907 x4
Zn 0.0000 0.5000 0.5000 x2
Ag 0.1833 0.0000 0.2024 x4